1.
Computed PXRD pattern of FeO2 for a wavelength of 1.5418 Å, from DFT lattice parameters and positions (GGA+U).

Largest 10 diffraction maxima, low angle first, 10 to 90 degrees two-theta:
two_theta	intensity	index
18.5	42	0 1 1
23.3	36	0 0 2
29.9	56	2 0 0
31.3	46	1 1 2
34.7	100	1 2 1
35.3	17	2 1 1
38.4	33	1 0 3
56.2	33	3 2 1
56.6	15	0 2 4
65.3	41	2 2 4

Cell and atoms:
```
data_FeO2
_chemical_formula_sum 'Fe8 O16'
_cell_length_a 5.982
_cell_length_b 6.181
_cell_length_c 7.644
_cell_angle_alpha 90.00
_cell_angle_beta 90.00
_cell_angle_gamma 90.00
_symmetry_space_group_name_H-M 'I m m a'
_symmetry_Int_Tables_number 74
_symmetry_space_group_name_Hall '-I 2b 2'
loop_
_atom_site_label
_atom_site_type_symbol
_atom_site_fract_x
_atom_site_fract_y
_atom_site_fract_z
Fe1 Fe 0.000 0.000 0.000
Fe2 Fe 0.000 0.250 0.390
O1 O 0.000 0.014 0.249
O2 O 0.221 0.250 0.996
```

---

2.
Computed PXRD pattern of Li2V3O3F5 for a wavelength of 1.5418 Å, from DFT lattice parameters and positions (GGA+U).

Largest 10 diffraction maxima, low angle first, 10 to 90 degrees two-theta:
two_theta	intensity	index
17.9	25	0 0 1
18.5	100	1 1 1
34.1	14	-1 1 1
34.5	18	1 -1 1
34.8	17	1 1 -1
41.9	28	0 2 2
42.5	27	2 0 2
42.8	26	2 2 0
60.2	9	2 -2 0
60.5	9	2 0 -2

Cell and atoms:
```
data_Li2V3O3F5
_chemical_formula_sum 'Li2 V3 O3 F5'
_cell_length_a 5.926
_cell_length_b 5.953
_cell_length_c 5.965
_cell_angle_alpha 61.18
_cell_angle_beta 61.95
_cell_angle_gamma 62.35
_symmetry_space_group_name_H-M 'P 1'
_symmetry_Int_Tables_number 1
loop_
_symmetry_equiv_pos_as_xyz
'x,y,z'
loop_
_atom_site_label
_atom_site_type_symbol
_atom_site_fract_x
_atom_site_fract_y
_atom_site_fract_z
Li1 Li 0.000 0.000 0.000
Li2 Li 0.233 0.266 0.263
V1 V 0.117 0.632 0.630
V2 V 0.631 0.149 0.619
V3 V 0.631 0.622 0.144
O1 O 0.372 0.403 0.400
O2 O 0.849 0.376 0.369
O3 O 0.865 0.864 0.857
F1 F 0.362 0.381 0.865
F2 F 0.363 0.868 0.378
F3 F 0.392 0.891 0.889
F4 F 0.874 0.395 0.883
F5 F 0.874 0.885 0.396
```

---

3.
Computed PXRD pattern of Li9Co7O16 for a wavelength of 1.5418 Å, from DFT lattice parameters and positions (GGA+U).

Largest 10 diffraction maxima, low angle first, 10 to 90 degrees two-theta:
two_theta	intensity	index
18.5	100	2 0 0
35.6	15	2 0 -2
36.8	24	0 4 1
38.1	8	2 4 -1
42.8	29	4 0 -2
44.6	50	2 4 1
47.9	9	4 4 -1
58.6	9	4 4 1
63.2	15	6 4 -1
63.8	14	2 4 -3

Cell and atoms:
```
data_Li9Co7O16
_chemical_formula_sum 'Li18 Co14 O32'
_cell_length_a 10.306
_cell_length_b 11.391
_cell_length_c 5.100
_cell_angle_alpha 90.00
_cell_angle_beta 111.11
_cell_angle_gamma 90.00
_symmetry_space_group_name_H-M 'C 1 2/m 1'
_symmetry_Int_Tables_number 12
loop_
_symmetry_equiv_pos_as_xyz
'x,y,z'
'-x,-y,-z'
'-x,y,-z'
'x,-y,z'
'x+1/2,y+1/2,z'
'-x+1/2,-y+1/2,-z'
'-x+1/2,y+1/2,-z'
'x+1/2,-y+1/2,z'
loop_
_atom_site_label
_atom_site_type_symbol
_atom_site_fract_x
_atom_site_fract_y
_atom_site_fract_z
Li1 Li 0.000 0.000 0.000
Li2 Li 0.244 0.000 0.489
Li3 Li 0.244 0.123 0.998
Li4 Li 0.250 0.250 0.500
Co1 Co 0.000 0.123 0.500
Co2 Co 0.000 0.245 0.000
Co3 Co 0.000 0.375 0.500
Co4 Co 0.000 0.500 0.000
O1 O 0.108 0.246 0.754
O2 O 0.109 0.374 0.228
O3 O 0.113 0.000 0.714
O4 O 0.115 0.139 0.236
O5 O 0.123 0.500 0.736
```

---

4.
Computed PXRD pattern of CrN3O8 for a wavelength of 1.5418 Å, from DFT lattice parameters and positions (GGA+U).

Largest 10 diffraction maxima, low angle first, 10 to 90 degrees two-theta:
two_theta	intensity	index
17.3	100	1 0 1
18.8	25	1 1 0
22.2	16	0 0 2
29.2	50	1 1 2
32.1	13	2 1 1
38.2	27	2 2 0
44.6	11	2 2 2
48.8	16	3 1 2
50.7	16	3 2 1
60.7	7	2 2 4

Cell and atoms:
```
data_CrN3O8
_chemical_formula_sum 'Cr2 N6 O16'
_cell_length_a 6.661
_cell_length_b 6.661
_cell_length_c 8.022
_cell_angle_alpha 90.00
_cell_angle_beta 90.00
_cell_angle_gamma 90.00
_symmetry_space_group_name_H-M 'I -4 2 m'
_symmetry_Int_Tables_number 121
_symmetry_space_group_name_Hall 'I -4 2'
loop_
_atom_site_label
_atom_site_type_symbol
_atom_site_fract_x
_atom_site_fract_y
_atom_site_fract_z
Cr1 Cr 0.000 0.000 0.000
N1 N 0.000 0.000 0.500
N2 N 0.000 0.500 0.250
O1 O 0.168 0.168 0.155
O2 O 0.208 0.208 0.996
```

---

5.
Computed PXRD pattern of K2LiCoF6 for a wavelength of 1.5418 Å, from DFT lattice parameters and positions (GGA+U).

Largest 10 diffraction maxima, low angle first, 10 to 90 degrees two-theta:
two_theta	intensity	index
19.1	80	1 1 1
31.4	100	2 2 0
37.0	32	3 1 1
38.7	51	2 2 2
45.0	98	4 0 0
55.9	35	4 2 2
59.7	13	5 1 1
65.6	52	4 4 0
74.5	15	6 2 0
83.1	16	4 4 4

Cell and atoms:
```
data_K2LiCoF6
_chemical_formula_sum 'K8 Li4 Co4 F24'
_cell_length_a 8.051
_cell_length_b 8.051
_cell_length_c 8.051
_cell_angle_alpha 90.00
_cell_angle_beta 90.00
_cell_angle_gamma 90.00
_symmetry_space_group_name_H-M 'F m -3 m'
_symmetry_Int_Tables_number 225
_symmetry_space_group_name_Hall '-F 4 2 3'
loop_
_atom_site_label
_atom_site_type_symbol
_atom_site_fract_x
_atom_site_fract_y
_atom_site_fract_z
K1 K 0.250 0.250 0.250
Li1 Li 0.000 0.000 0.000
Co1 Co 0.000 0.000 0.500
F1 F 0.000 0.000 0.259
```

---

6.
Computed PXRD pattern of MgAlFeO4 for a wavelength of 1.5418 Å, from DFT lattice parameters and positions (GGA+U).

Largest 10 diffraction maxima, low angle first, 10 to 90 degrees two-theta:
two_theta	intensity	index
30.4	79	0 2 0
30.6	15	2 0 0
35.7	47	0 1 3
35.9	100	1 2 1
54.0	11	1 3 2
57.4	16	0 1 5
57.7	22	2 3 1
57.8	14	3 2 1
63.3	62	0 4 0
63.6	13	4 0 0

Cell and atoms:
```
data_MgAlFeO4
_chemical_formula_sum 'Mg4 Al4 Fe4 O16'
_cell_length_a 5.850
_cell_length_b 5.877
_cell_length_c 8.340
_cell_angle_alpha 90.00
_cell_angle_beta 90.00
_cell_angle_gamma 90.00
_symmetry_space_group_name_H-M 'I m m a'
_symmetry_Int_Tables_number 74
_symmetry_space_group_name_Hall '-I 2b 2'
loop_
_atom_site_label
_atom_site_type_symbol
_atom_site_fract_x
_atom_site_fract_y
_atom_site_fract_z
Mg1 Mg 0.000 0.000 0.000
Al1 Al 0.250 0.250 0.250
Fe1 Fe 0.000 0.250 0.617
O1 O 0.000 0.025 0.249
O2 O 0.242 0.250 0.021
```